The following is a simulated X-ray powder pattern of CdSO4. It was derived from a crystal structure in Alexandria, relaxed with GGA-PBE, using Cu Kα (weighted mean of Kα1 and Kα2).

Principal peaks in the range 2θ = 10–80°, sorted by position:
| index | two_theta | d_spacing | Rel. int. |
| --- | --- | --- | --- |
| 0 0 1 | 13.89 | 6.376 | 85 |
| 1 0 0 | 17.95 | 4.942 | 43 |
| 1 0 1 | 22.77 | 3.906 | 90 |
| 1 1 0 | 31.35 | 2.853 | 100 |
| 1 0 2 | 33.45 | 2.679 | 68 |
| 1 1 1 | 34.43 | 2.604 | 35 |
| 0 2 2 | 46.50 | 1.953 | 78 |
| 0 2 3 | 57.16 | 1.612 | 44 |

Structural model:
```
data_CdSO4
_cell_length_a 5.7067
_cell_length_b 5.7067
_cell_length_c 6.3762
_cell_angle_alpha 90.00
_cell_angle_beta 90.00
_cell_angle_gamma 120.00
_symmetry_space_group_name_H-M 'P 3 m 1'
_symmetry_Int_Tables_number 156
_symmetry_space_group_name_Hall 'P 3 -2"'
loop_
_atom_site_label
_atom_site_fract_x
_atom_site_fract_y
_atom_site_fract_z
Cd1 0.0000 0.0000 0.0000
Cd2 0.3333 0.6667 0.8195
S1 0.3333 0.6667 0.2567
S2 0.6667 0.3333 0.6972
O1 0.1940 0.3879 0.1697
O2 0.3333 0.6667 0.4852
O3 0.3808 0.1904 0.7852
O4 0.6667 0.3333 0.4718
```

***

The following is a simulated X-ray powder pattern of Cd2SO4. It was derived from a crystal structure in Alexandria, relaxed with GGA-PBE, using Cu Kα (weighted mean of Kα1 and Kα2).

Principal peaks in the range 2θ = 10–80°, sorted by position:
| index | two_theta | d_spacing | Rel. int. |
| --- | --- | --- | --- |
| 0 0 2 | 16.34 | 5.426 | 39 |
| 1 1 0 | 26.81 | 3.326 | 35 |
| 1 1 2 | 31.55 | 2.836 | 100 |
| 2 0 2 | 41.87 | 2.158 | 30 |
| 1 1 4 | 43.03 | 2.102 | 24 |
| 2 0 4 | 51.42 | 1.777 | 25 |
| 1 1 6 | 58.04 | 1.589 | 22 |
| 3 1 2 | 65.03 | 1.434 | 24 |

Structural model:
```
data_Cd2SO4
_cell_length_a 4.704
_cell_length_b 4.704
_cell_length_c 10.851
_cell_angle_alpha 90.00
_cell_angle_beta 90.00
_cell_angle_gamma 90.00
_symmetry_space_group_name_H-M 'I -4 2 m'
_symmetry_Int_Tables_number 121
_symmetry_space_group_name_Hall 'I -4 2'
loop_
_atom_site_label
_atom_site_fract_x
_atom_site_fract_y
_atom_site_fract_z
Cd1 0.000 0.500 0.250
S1 0.000 0.000 0.000
O1 0.185 0.185 0.079
```

***

The following is a simulated X-ray powder pattern of Cd3SO. It was derived from a crystal structure in Alexandria, relaxed with GGA-PBE, using Cu Kα (weighted mean of Kα1 and Kα2).

Principal peaks in the range 2θ = 10–80°, sorted by position:
| index | two_theta | d_spacing | Rel. int. |
| --- | --- | --- | --- |
| 1 3 0 | 29.00 | 3.080 | 23 |
| 1 1 1 | 30.24 | 2.956 | 68 |
| 0 0 2 | 31.24 | 2.863 | 75 |
| 0 6 1 | 31.91 | 2.804 | 55 |
| 1 5 0 | 34.55 | 2.596 | 100 |
| 1 3 2 | 43.14 | 2.097 | 23 |
| 1 5 2 | 47.27 | 1.923 | 64 |
| 2 0 2 | 62.05 | 1.496 | 24 |

Structural model:
```
data_Cd3SO
_cell_length_a 3.508
_cell_length_b 19.299
_cell_length_c 5.726
_cell_angle_alpha 90.00
_cell_angle_beta 90.00
_cell_angle_gamma 90.00
_symmetry_space_group_name_H-M 'C m c 21'
_symmetry_Int_Tables_number 36
_symmetry_space_group_name_Hall 'C 2c -2'
loop_
_atom_site_label
_atom_site_fract_x
_atom_site_fract_y
_atom_site_fract_z
Cd1 0.000 0.017 0.000
Cd2 0.000 0.223 0.074
Cd3 0.000 0.386 0.997
S1 0.000 0.378 0.473
O1 0.000 0.202 0.464
```

***

The following is a simulated X-ray powder pattern of Cd2SO6. It was derived from a crystal structure in Alexandria, relaxed with GGA-PBE, using Cu Kα (weighted mean of Kα1 and Kα2).

Principal peaks in the range 2θ = 10–80°, sorted by position:
| index | two_theta | d_spacing | Rel. int. |
| --- | --- | --- | --- |
| 0 0 2 | 18.11 | 4.897 | 100 |
| 1 1 0 | 23.89 | 3.725 | 54 |
| 1 1 2 | 27.32 | 3.264 | 38 |
| -1 1 2 | 30.88 | 2.896 | 39 |
| 1 -1 2 | 31.16 | 2.871 | 33 |
| 0 2 0 | 34.72 | 2.584 | 48 |
| 0 2 -2 | 41.59 | 2.172 | 38 |
| 0 2 -4 | 54.96 | 1.671 | 31 |

Structural model:
```
data_Cd2SO6
_cell_length_a 5.190
_cell_length_b 5.222
_cell_length_c 9.958
_cell_angle_alpha 82.08
_cell_angle_beta 82.84
_cell_angle_gamma 86.49
_symmetry_space_group_name_H-M 'P 1'
_symmetry_Int_Tables_number 1
_symmetry_space_group_name_Hall 'P 1'
loop_
_atom_site_label
_atom_site_fract_x
_atom_site_fract_y
_atom_site_fract_z
Cd1 0.000 0.000 0.000
Cd2 0.094 0.094 0.539
Cd3 0.491 0.521 0.996
Cd4 0.591 0.596 0.533
S1 0.020 0.520 0.745
S2 0.947 0.454 0.229
O1 0.089 0.253 0.314
O2 0.095 0.239 0.761
O3 0.117 0.627 0.597
O4 0.139 0.643 0.152
O5 0.139 0.653 0.842
O6 0.399 0.106 0.023
O7 0.523 0.026 0.496
O8 0.601 0.935 0.957
O9 0.663 0.166 0.583
O10 0.733 0.566 0.761
O11 0.743 0.602 0.308
O12 0.824 0.332 0.126
```